Diffraction record for AcPrRhBr. The powder X-ray diffraction pattern is theoretical, not measured: it uses a crystal structure in Alexandria, relaxed with PBE and Cu Ka.
Peak positions follow from Bragg's law for the DFT cell and can differ from measured ones.

The 10 most intense peaks (2θ from 5° to 70°), by angle:
hkl 0 0 3, 10.81°, I = 33; hkl 1 0 1, 24.55°, I = 21; hkl 0 1 2, 25.35°, I = 15; hkl 1 0 4, 28.36°, I = 28; hkl 0 1 5, 30.43°, I = 100; hkl 1 1 0, 42.71°, I = 43; hkl 1 0 10, 44.42°, I = 29; hkl 2 0 5, 53.34°, I = 21; hkl 1 1 9, 54.90°, I = 12; hkl 0 2 10, 63.32°, I = 10

Crystal structure
```
data_AcPrRhBr
_cell_length_a 4.2339
_cell_length_b 4.2339
_cell_length_c 24.5440
_cell_angle_alpha 90.00
_cell_angle_beta 90.00
_cell_angle_gamma 120.00
_space_group_name_H-M_alt 'R 3 m'
_space_group_IT_number 160
_space_group_name_Hall 'R 3 -2"'
loop_
_atom_site_label
_atom_site_type_symbol
_atom_site_fract_x
_atom_site_fract_y
_atom_site_fract_z
Ac1 Ac 0.0000 0.0000 0.0000
Pr1 Pr 0.0000 0.0000 0.2043
Rh1 Rh 0.0000 0.0000 0.6003
Br1 Br 0.0000 0.0000 0.7773
```